[1]
K4Pt: calculated X-ray diffraction stick pattern (Cu Kα, 1.54184 Å), based on DFT lattice parameters and positions (GGA-PBE).
No peak broadening, texture or thermal motion is included.

Structure:
```
20
Lattice="15.662 0.000 0.000 0.000 15.662 0.000 0.000 0.000 4.140" Properties=species:S:1:pos:R:3 pbc="T T T"
K 2.080 2.080 0.000
K 2.081 5.703 0.000
K 2.128 9.912 2.070
K 2.128 13.534 2.070
K 5.703 2.081 0.000
K 5.703 5.703 0.000
K 5.751 9.912 2.070
K 5.751 13.534 2.070
K 9.912 2.128 2.070
K 9.912 5.751 2.070
K 9.959 9.959 0.000
K 9.959 13.582 0.000
K 13.534 2.128 2.070
K 13.534 5.751 2.070
K 13.582 9.959 0.000
K 13.582 13.582 0.000
Pt 3.892 3.892 2.070
Pt 3.939 11.723 0.000
Pt 11.723 3.939 0.000
Pt 11.770 11.770 2.070
```

Main lines, most intense first (15 to 90 degrees two-theta):
two_theta	d (Å)	I/Imax
28.09	3.176	100
36.42	2.467	65
16.01	5.538	51
32.33	2.769	30
25.43	3.502	27
49.49	1.842	15
41.58	2.172	15
65.35	1.428	13
55.10	1.667	13
60.36	1.534	13

***

[2]
PrNdCl6: calculated X-ray diffraction stick pattern (Cu Kα, 1.54184 Å), based on DFT lattice parameters and positions (GGA-PBE).
No peak broadening, texture or thermal motion is included.

Structure:
```
8
Lattice="7.496 0.000 0.000 -3.748 6.492 0.000 0.000 0.000 4.295" Properties=species:S:1:pos:R:3 pbc="T T T"
Pr 0.000 0.000 0.000
Nd 3.748 2.164 2.147
Cl -2.601 4.883 2.147
Cl 0.819 1.798 2.147
Cl 2.936 0.372 0.000
Cl 2.602 3.764 0.000
Cl 1.781 6.303 2.147
Cl 5.707 2.356 0.000
```

Main lines, most intense first (15 to 90 degrees two-theta):
two_theta	d (Å)	I/Imax
34.64	2.590	100
42.43	2.131	82
24.86	3.582	72
23.74	3.748	47
41.74	2.164	37
66.44	1.407	30
31.68	2.824	25
60.76	1.524	23
42.08	2.147	21
27.48	3.246	19